For Re3As, DFT lattice parameters and positions (GGA-PBE) gives the calculated PXRD pattern in this record (a wavelength of 1.5418 Å).
Kinematic intensities with the Lorentz-polarization factor, no thermal factor.

a b c (Å): 2.8395 2.8395 25.8434
angles (deg): 90.00 90.00 120.00
Space group R-3m (No. 166, hexagonal axes)
Symmetry-distinct sites (fractional):
1 Re 0.0000 0.0000 0.0000 x3
2 Re 0.0000 0.0000 0.2489 x6
3 As 0.0000 0.0000 0.5000 x3

Peak list (12 most intense, 10 to 80 degrees two-theta, sorted by position)
- (0 0 3), 10.3°, rel. 18
- (0 0 6), 20.6°, rel. 5
- (0 0 9), 31.1°, rel. 3
- (1 0 1), 36.7°, rel. 4
- (0 1 2), 37.2°, rel. 3
- (1 0 4), 39.2°, rel. 100
- (0 1 5), 40.6°, rel. 3
- (0 0 12), 42.0°, rel. 28
- (0 1 8), 46.4°, rel. 62
- (1 1 0), 65.8°, rel. 22
- (1 0 16), 69.7°, rel. 20
- (0 2 4), 79.3°, rel. 13


For ReAsRu, DFT lattice parameters and positions (GGA-PBE) gives the calculated PXRD pattern in this record (a wavelength of 1.5418 Å).
Kinematic intensities with the Lorentz-polarization factor, no thermal factor.

a b c (Å): 2.9663 2.9663 9.8932
angles (deg): 90.00 90.00 90.00
Space group I4mm (No. 107)
Symmetry-distinct sites (fractional):
1 Re 0.0000 0.0000 0.0000 x2
2 As 0.0000 0.0000 0.3428 x2
3 Ru 0.0000 0.0000 0.6792 x2

Peak list (12 most intense, 10 to 80 degrees two-theta, sorted by position)
- (0 0 2), 17.9°, rel. 11
- (1 0 1), 31.5°, rel. 16
- (0 0 4), 36.3°, rel. 4
- (1 0 3), 40.9°, rel. 100
- (1 1 0), 43.1°, rel. 44
- (1 1 2), 47.1°, rel. 4
- (0 0 6), 55.7°, rel. 10
- (1 1 4), 57.6°, rel. 4
- (2 0 0), 62.6°, rel. 14
- (2 1 1), 71.8°, rel. 3
- (1 1 6), 73.0°, rel. 17
- (2 1 3), 77.6°, rel. 31